Diffraction record for Hf3CS. The PXRD pattern is simulated, not measured: it uses a GGA-PBE-relaxed structure and copper Kα.
Intensities are scaled so that the largest is 100.

The 10 most intense peaks (2θ = 10–90°), low angle first:
2θ 29.7, I 64
2θ 30.2, I 54
2θ 31.8, I 58
2θ 36.5, I 100
2θ 37.8, I 29
2θ 41.6, I 28
2θ 42.8, I 72
2θ 59.5, I 22
2θ 60.8, I 23
2θ 70.1, I 41

Cell and atoms:
a b c (Å): 3.203 5.927 8.876
angles (deg): 90.00 90.00 90.00
Atoms (fractional coordinates):
Hf  0.250  0.005  0.209
Hf  0.250  0.250  0.514
Hf  0.250  0.495  0.209
Hf  0.750  0.505  0.791
Hf  0.750  0.750  0.486
Hf  0.750  0.995  0.791
C  0.250  0.750  0.691
C  0.750  0.250  0.309
S  0.250  0.250  0.959
S  0.750  0.750  0.041


Diffraction record for La2Al6Pd. The PXRD pattern is simulated, not measured: it uses a GGA-PBE-relaxed structure and copper Kα.
Intensities are scaled so that the largest is 100.

The 10 most intense peaks (2θ = 10–90°), low angle first:
2θ 15.3, I 38
2θ 22.8, I 82
2θ 29.3, I 89
2θ 33.2, I 84
2θ 35.3, I 86
2θ 37.4, I 100
2θ 46.5, I 29
2θ 50.3, I 26
2θ 55.9, I 42
2θ 60.7, I 30

Cell and atoms:
a b c (Å): 6.105 6.105 5.797
angles (deg): 90.00 90.00 120.00
Atoms (fractional coordinates):
La  0.333  0.667  0.331
La  0.667  0.333  0.669
Al  0.171  0.343  0.820
Al  0.171  0.829  0.820
Al  0.343  0.171  0.180
Al  0.657  0.829  0.820
Al  0.829  0.171  0.180
Al  0.829  0.657  0.180
Pd  0.000  0.000  0.500


Diffraction record for Nd4CoPtI2. The PXRD pattern is simulated, not measured: it uses a GGA-PBE-relaxed structure and copper Kα.
Intensities are scaled so that the largest is 100.

The 10 most intense peaks (2θ = 10–90°), low angle first:
2θ 10.9, I 17
2θ 28.7, I 100
2θ 30.8, I 9
2θ 35.8, I 13
2θ 38.6, I 9
2θ 38.8, I 18
2θ 43.1, I 25
2θ 43.4, I 14
2θ 52.8, I 12
2θ 55.4, I 8

Cell and atoms:
a b c (Å): 7.279 4.171 8.438
angles (deg): 90.00 106.59 90.00
Atoms (fractional coordinates):
Nd  0.215  0.000  0.183
Nd  0.255  0.500  0.816
Nd  0.745  0.500  0.184
Nd  0.785  0.000  0.817
Co  0.000  0.500  0.000
Pt  0.500  0.000  0.000
I  0.000  0.000  0.500
I  0.500  0.500  0.500


Diffraction record for Na8Sb2Au. The PXRD pattern is simulated, not measured: it uses a GGA-PBE-relaxed structure and copper Kα.
Intensities are scaled so that the largest is 100.

The 10 most intense peaks (2θ = 10–90°), low angle first:
2θ 20.5, I 56
2θ 20.9, I 55
2θ 23.8, I 30
2θ 24.3, I 15
2θ 33.4, I 25
2θ 34.3, I 100
2θ 39.8, I 21
2θ 40.4, I 19
2θ 48.7, I 13
2θ 60.3, I 15

Cell and atoms:
a b c (Å): 9.052 9.052 9.052
angles (deg): 145.57 132.26 60.18
Atoms (fractional coordinates):
Na  0.113  0.349  0.763
Na  0.179  0.179  0.000
Na  0.265  0.000  0.265
Na  0.414  0.651  0.763
Na  0.586  0.349  0.237
Na  0.735  0.000  0.735
Na  0.821  0.821  0.000
Na  0.887  0.651  0.237
Sb  0.322  0.822  0.500
Sb  0.678  0.178  0.500
Au  0.000  0.500  0.500


Diffraction record for EuThPb. The PXRD pattern is simulated, not measured: it uses a GGA-PBE-relaxed structure and copper Kα.
Intensities are scaled so that the largest is 100.

The 10 most intense peaks (2θ = 10–90°), low angle first:
2θ 29.7, I 70
2θ 33.6, I 100
2θ 42.5, I 27
2θ 55.3, I 49
2θ 61.7, I 9
2θ 62.3, I 16
2θ 70.0, I 13
2θ 70.6, I 11
2θ 72.1, I 11
2θ 87.5, I 14

Cell and atoms:
a b c (Å): 5.957 5.957 5.957
angles (deg): 138.21 138.21 60.58
Atoms (fractional coordinates):
Eu  0.000  0.000  0.000
Th  0.685  0.685  0.000
Pb  0.342  0.342  0.000


Diffraction record for BaAgAs2Se4. The PXRD pattern is simulated, not measured: it uses a GGA-PBE-relaxed structure and copper Kα.
Intensities are scaled so that the largest is 100.

The 10 most intense peaks (2θ = 10–90°), low angle first:
2θ 27.6, I 100
2θ 29.6, I 18
2θ 32.5, I 16
2θ 33.2, I 20
2θ 35.5, I 59
2θ 43.1, I 11
2θ 45.0, I 23
2θ 46.0, I 27
2θ 46.7, I 18
2θ 52.0, I 11

Cell and atoms:
a b c (Å): 6.582 6.582 6.582
angles (deg): 115.42 112.88 100.49
Atoms (fractional coordinates):
Ba  0.000  0.000  0.000
Ag  0.500  0.500  0.000
As  0.193  0.693  0.500
As  0.807  0.307  0.500
Se  0.124  0.550  0.040
Se  0.491  0.450  0.574
Se  0.509  0.083  0.960
Se  0.876  0.917  0.426